Entry 1:
The following is a theoretical PXRD pattern of Tl2Ag3Se4. It was derived from a crystal structure in OQMD, relaxed with GGA-PBE, using CuKα.
Kinematic intensities with the Lorentz-polarization factor, no thermal factor.

Structure:
```
Tl2Ag3Se4
1.0
0.0000 5.7282 6.1976
3.2298 0.0000 6.1976
3.2298 5.7282 0.0000
Tl Ag Se
2 3 4
direct
0.1479 0.1479 0.8521
0.8521 0.8521 0.1479
0.0000 0.0000 0.5000
0.5000 0.5000 0.0000
0.5000 0.5000 0.5000
0.1905 0.5107 0.4893
0.4893 0.8095 0.1905
0.5107 0.1905 0.8095
0.8095 0.4893 0.5107
```

Main lines, in order of rising 2θ (2θ from 5° to 70°):
2θ/deg	I/Imax
26.8	33
27.6	27
28.1	28
31.2	27
31.8	37
34.9	100
40.3	27
43.8	17
53.7	29
55.9	22

=====

Entry 2:
The following is a theoretical PXRD pattern of PmAuSeO. It was derived from a crystal structure in OQMD, relaxed with GGA-PBE, using CuKα.
Kinematic intensities with the Lorentz-polarization factor, no thermal factor.

Structure:
```
PmAuSeO
1.0
5.7535 0.0000 0.0000
0.0000 9.5675 0.0000
0.0000 0.0000 5.7667
Pm Au Se O
4 4 4 4
direct
0.0000 0.1206 0.2500
0.0000 0.8794 0.7500
0.5000 0.1206 0.7500
0.5000 0.8794 0.2500
0.2500 0.5000 0.2431
0.2500 0.5000 0.7431
0.7500 0.5000 0.2569
0.7500 0.5000 0.7569
0.0000 0.2823 0.7500
0.0000 0.7177 0.2500
0.5000 0.2823 0.2500
0.5000 0.7177 0.7500
0.2500 0.0000 0.0000
0.2500 0.0000 0.5000
0.7500 0.0000 0.0000
0.7500 0.0000 0.5000
```

Main lines, in order of rising 2θ (2θ from 5° to 70°):
2θ/deg	I/Imax
9.2	66
18.5	46
28.8	93
31.0	100
32.5	95
35.8	52
36.4	72
42.3	46
45.5	78
48.6	43

=====

Entry 3:
The following is a theoretical PXRD pattern of ErUSb. It was derived from a crystal structure in OQMD, relaxed with GGA-PBE, using CuKα.
Kinematic intensities with the Lorentz-polarization factor, no thermal factor.

Structure:
```
ErUSb
1.0
7.1919 0.0000 0.0000
0.0000 7.1919 0.0000
0.0000 0.0000 7.1919
Er U Sb
4 4 4
direct
0.0000 0.0000 0.0000
0.0000 0.5000 0.5000
0.5000 0.0000 0.5000
0.5000 0.5000 0.0000
0.0000 0.0000 0.5000
0.0000 0.5000 0.0000
0.5000 0.0000 0.0000
0.5000 0.5000 0.5000
0.2500 0.2500 0.2500
0.2500 0.7500 0.7500
0.7500 0.2500 0.7500
0.7500 0.7500 0.2500
```

Main lines, in order of rising 2θ (2θ from 5° to 70°):
2θ/deg	I/Imax
21.4	16
24.8	34
35.3	100
41.7	9
43.6	11
50.8	18
55.7	4
57.3	15
63.4	37
67.7	3

=====

Entry 4:
The following is a theoretical PXRD pattern of Nd2Y2CBr3Cl2. It was derived from a crystal structure in OQMD, relaxed with GGA-PBE, using CuKα.
Kinematic intensities with the Lorentz-polarization factor, no thermal factor.

Structure:
```
Nd2Y2CBr3Cl2
1.0
8.9781 -1.9155 0.0000
8.9781 1.9155 0.0000
-2.0474 0.0000 7.8582
Nd Y C Br Cl
2 2 1 3 2
direct
0.1446 0.1446 0.0846
0.8554 0.8554 0.9154
0.5005 0.5005 0.2032
0.4995 0.4995 0.7968
0.0000 0.0000 0.0000
0.0000 0.0000 0.5000
0.3336 0.3336 0.1846
0.6664 0.6664 0.8154
0.3434 0.3434 0.6537
0.6566 0.6566 0.3463
```

Main lines, in order of rising 2θ (2θ from 5° to 70°):
2θ/deg	I/Imax
11.3	66
25.8	24
28.7	18
30.9	47
31.7	25
32.1	100
34.6	24
44.7	40
45.6	31
47.5	18